KEuNbInO6: computed XRD peak list (copper Kα), based on a PBE-relaxed structure.
Peak positions follow from Bragg's law for the DFT cell and can differ from measured ones.

Structure:
a = 5.8185 Å, b = 5.8185 Å, c = 5.8185 Å
α = 60.00°, β = 60.00°, γ = 60.00°
Fractional positions:
K 0.0000 0.0000 0.0000
Eu 0.5000 0.5000 0.5000
Nb 0.2500 0.2500 0.2500
In 0.7500 0.7500 0.7500
O 0.0083 0.0083 0.4917
O 0.0083 0.4917 0.0083
O 0.0083 0.4917 0.4917
O 0.4917 0.0083 0.0083
O 0.4917 0.0083 0.4917
O 0.4917 0.4917 0.0083

Principal peaks in the range 2θ from 5° to 70°, sorted by position:
2θ (°)	I_rel
18.68	19
30.73	100
36.21	12
44.02	33
54.64	39
64.01	20